For LaHfMg14, DFT lattice parameters and positions (GGA-PBE) gives the computed PXRD pattern in this record (Cu Ka).
Intensities are scaled so that the largest is 100.

Structural model:
```
LaHfMg14
1.0
10.4130 0.0000 0.0000
0.0000 3.2041 5.7416
0.0000 -3.2041 5.7416
La Hf Mg
1 1 14
direct
0.0000 0.0000 0.0000
0.0000 0.4940 0.4940
0.0000 0.0025 0.4974
0.0000 0.4974 0.0025
0.2466 0.6628 0.6628
0.2574 0.1703 0.6559
0.2574 0.6559 0.1703
0.2585 0.1680 0.1680
0.5000 0.4989 0.4989
0.5000 0.4994 0.9978
0.5000 0.9978 0.4994
0.5000 0.9983 0.9983
0.7415 0.1680 0.1680
0.7426 0.1703 0.6559
0.7426 0.6559 0.1703
0.7534 0.6628 0.6628
```

Largest 12 diffraction maxima, most intense first, 2θ = 10–90°:
36.46°, I 100
17.64°, I 56
35.72°, I 53
15.43°, I 38
34.45°, I 37
31.99°, I 33
23.06°, I 31
17.03°, I 31
33.15°, I 25
47.72°, I 21
67.40°, I 20
63.03°, I 19